Record 1
Starting from the GGA-PBE geometry in the Materials Project, the X-ray diffraction stick pattern of KCaCl3 was simulated for Cu Kα X-rays.
Kinematic intensities with the Lorentz-polarization factor, no thermal factor.

Most intense lines, 2θ from 10° to 80°, in order of rising 2θ:
d (Å), Position (°2θ), intensity
5.403, 16.4, 45
4.014, 22.1, 36
3.231, 27.6, 100
2.701, 33.2, 29
2.513, 35.7, 95
2.109, 42.9, 49

Crystal structure
abc: 7.3046 7.3046 20.7754
angles: 90.00 90.00 120.00
Space group R-3 (No. 148, hexagonal axes)
Asymmetric unit:
K (0.0000, 0.0000, 0.1420)
Ca (0.0000, 0.0000, 0.3411)
Cl (0.0154, 0.6271, 0.9248)

Record 2
Starting from the GGA-PBE geometry in the Materials Project, the X-ray diffraction stick pattern of CaSiO3 was simulated for Cu Kα X-rays.
Kinematic intensities with the Lorentz-polarization factor, no thermal factor.

Most intense lines, 2θ from 10° to 80°, in order of rising 2θ:
d (Å), Position (°2θ), intensity
2.555, 35.1, 100
2.546, 35.2, 52
2.084, 43.4, 66
1.812, 50.4, 38
1.801, 50.7, 73
1.277, 74.3, 39

Crystal structure
abc: 5.0930 5.0930 3.6242
angles: 90.00 90.00 90.00
Space group P4/mbm (No. 127)
Asymmetric unit:
Ca (0.0000, 0.5000, 0.0000)
Si (0.0000, 0.0000, 0.5000)
O (0.0000, 0.0000, 0.0000)
O (0.2330, 0.2670, 0.5000)